1.
For ReSi4Mo, a cell relaxed with GGA-PBE gives the calculated PXRD pattern in this record (CuKα).

The 10 most intense peaks (2θ from 10° to 80°), by intensity:
- hkl 1 0 3, 44.6 deg, I = 100
- hkl 1 0 1, 30.1 deg, I = 95
- hkl 1 1 0, 39.8 deg, I = 70
- hkl 0 0 2, 22.6 deg, I = 48
- hkl 2 1 3, 75.6 deg, I = 42
- hkl 1 1 2, 46.2 deg, I = 37
- hkl 0 0 1, 11.2 deg, I = 31
- hkl 1 0 5, 66.2 deg, I = 30
- hkl 2 0 2, 62.5 deg, I = 24
- hkl 2 0 0, 57.5 deg, I = 23

Structural model:
a = 3.206 Å, b = 3.206 Å, c = 7.866 Å
α = 90.00°, β = 90.00°, γ = 90.00°
Element x y z (fractional)
Re1 0.000 0.000 0.000
Si1 0.000 0.000 0.334
Si2 0.000 0.000 0.666
Si3 0.500 0.500 0.167
Si4 0.500 0.500 0.833
Mo1 0.500 0.500 0.500

---

2.
For Ta2ReMo, a cell relaxed with GGA-PBE gives the calculated PXRD pattern in this record (CuKα).

The 10 most intense peaks (2θ from 10° to 80°), by intensity:
- hkl 2 2 0, 39.6 deg, I = 100
- hkl 4 2 2, 71.8 deg, I = 35
- hkl 4 0 0, 57.2 deg, I = 17
- hkl 1 1 1, 23.9 deg, I = 4
- hkl 3 1 1, 46.8 deg, I = 2
- hkl 2 0 0, 27.7 deg, I = 2
- hkl 3 3 1, 62.9 deg, I = 1
- hkl 5 1 1, 77.0 deg, I = 1
- hkl 4 2 0, 64.8 deg, I = 1
- hkl 2 2 2, 49.0 deg, I = 1

Structural model:
a = 6.437 Å, b = 6.437 Å, c = 6.437 Å
α = 90.00°, β = 90.00°, γ = 90.00°
Element x y z (fractional)
Ta1 0.250 0.250 0.250
Ta2 0.250 0.250 0.750
Ta3 0.250 0.750 0.250
Ta4 0.250 0.750 0.750
Ta5 0.750 0.250 0.250
Ta6 0.750 0.250 0.750
Ta7 0.750 0.750 0.250
Ta8 0.750 0.750 0.750
Re1 0.000 0.000 0.000
Re2 0.000 0.500 0.500
Re3 0.500 0.000 0.500
Re4 0.500 0.500 0.000
Mo1 0.000 0.000 0.500
Mo2 0.000 0.500 0.000
Mo3 0.500 0.000 0.000
Mo4 0.500 0.500 0.500

---

3.
For VReMo, a cell relaxed with GGA-PBE gives the calculated PXRD pattern in this record (CuKα).

The 10 most intense peaks (2θ from 10° to 80°), by intensity:
- hkl 1 1 3, 41.3 deg, I = 100
- hkl 0 0 2, 13.6 deg, I = 40
- hkl 0 2 0, 40.6 deg, I = 26
- hkl 0 0 6, 41.7 deg, I = 24
- hkl 1 1 1, 36.1 deg, I = 19
- hkl 1 3 3, 74.3 deg, I = 17
- hkl 0 2 6, 59.6 deg, I = 16
- hkl 1 1 9, 75.9 deg, I = 16
- hkl 0 0 4, 27.5 deg, I = 11
- hkl 2 2 0, 74.9 deg, I = 8

Structural model:
a = 3.087 Å, b = 4.443 Å, c = 12.988 Å
α = 90.00°, β = 90.00°, γ = 90.00°
Element x y z (fractional)
V1 0.000 0.000 0.000
V2 0.000 0.500 0.500
V3 0.500 0.000 0.500
V4 0.500 0.500 0.000
Re1 0.000 0.000 0.339
Re2 0.000 0.500 0.839
Re3 0.500 0.000 0.839
Re4 0.500 0.500 0.339
Mo1 0.000 0.000 0.666
Mo2 0.000 0.500 0.166
Mo3 0.500 0.000 0.166
Mo4 0.500 0.500 0.666

---

4.
For Mo2Rh, a cell relaxed with GGA-PBE gives the calculated PXRD pattern in this record (CuKα).

The 10 most intense peaks (2θ from 10° to 80°), by intensity:
- hkl 1 1 3, 39.7 deg, I = 100
- hkl 0 0 6, 43.7 deg, I = 18
- hkl 0 2 0, 46.0 deg, I = 16
- hkl 2 0 0, 48.5 deg, I = 14
- hkl 1 1 9, 77.6 deg, I = 12
- hkl 0 2 6, 65.3 deg, I = 11
- hkl 2 0 6, 67.4 deg, I = 10
- hkl 2 2 0, 69.1 deg, I = 9
- hkl 0 0 2, 14.3 deg, I = 2
- hkl 1 1 5, 49.7 deg, I = 1

Structural model:
a = 3.751 Å, b = 3.948 Å, c = 12.418 Å
α = 90.00°, β = 90.00°, γ = 90.00°
Element x y z (fractional)
Mo1 0.000 0.000 0.159
Mo2 0.000 0.000 0.841
Mo3 0.000 0.500 0.341
Mo4 0.000 0.500 0.659
Mo5 0.500 0.000 0.341
Mo6 0.500 0.000 0.659
Mo7 0.500 0.500 0.159
Mo8 0.500 0.500 0.841
Rh1 0.000 0.000 0.500
Rh2 0.000 0.500 0.000
Rh3 0.500 0.000 0.000
Rh4 0.500 0.500 0.500